Record 1
The following is a calculated XRD peak list of Er6OsPt3. It was derived from a structure optimized by DFT (PBE), using a wavelength of 1.5418 Å.

Structural model:
```
data_Er6OsPt3
_chemical_formula_sum 'Er12 Os2 Pt6'
_cell_length_a 8.1849
_cell_length_b 11.8922
_cell_length_c 4.8154
_cell_angle_alpha 90.00
_cell_angle_beta 90.00
_cell_angle_gamma 90.00
_symmetry_space_group_name_H-M 'P n n m'
_symmetry_Int_Tables_number 58
_symmetry_space_group_name_Hall '-P 2 2n'
loop_
_atom_site_label
_atom_site_type_symbol
_atom_site_fract_x
_atom_site_fract_y
_atom_site_fract_z
Er1 Er 0.0002 0.2467 0.0000
Er2 Er 0.1528 0.4101 0.5000
Er3 Er 0.1752 0.0759 0.5000
Os1 Os 0.0000 0.5000 0.0000
Pt1 Pt 0.0000 0.0000 0.0000
Pt2 Pt 0.1672 0.8294 0.5000
```

Top 10 peaks for 2θ from 10° to 90°, sorted by position:
2theta	I (rel.)	index
18.4	16.0	1 2 0
31.2	38.2	1 3 1
31.4	19.5	2 3 0
37.2	63.7	1 4 1
37.4	82.3	0 0 2
37.9	100.0	3 0 1
43.9	13.4	1 5 1
53.9	21.3	2 4 2
66.9	12.7	1 8 1
67.7	18.5	3 0 3

=====

Record 2
The following is a calculated XRD peak list of ErTmOsPt. It was derived from a structure optimized by DFT (PBE), using a wavelength of 1.5418 Å.

Structural model:
```
data_ErTmOsPt
_chemical_formula_sum 'Er4 Tm4 Os4 Pt4'
_cell_length_a 6.8097
_cell_length_b 6.8097
_cell_length_c 6.8097
_cell_angle_alpha 90.00
_cell_angle_beta 90.00
_cell_angle_gamma 90.00
_symmetry_space_group_name_H-M 'F -4 3 m'
_symmetry_Int_Tables_number 216
_symmetry_space_group_name_Hall 'F -4 2 3'
loop_
_atom_site_label
_atom_site_type_symbol
_atom_site_fract_x
_atom_site_fract_y
_atom_site_fract_z
Er1 Er 0.0000 0.0000 0.0000
Tm1 Tm 0.0000 0.0000 0.5000
Os1 Os 0.2500 0.2500 0.2500
Pt1 Pt 0.2500 0.2500 0.7500
```

Top 4 peaks for 2θ from 10° to 90°, sorted by position:
2theta	I (rel.)	index
37.4	100.0	2 2 0
53.9	17.6	4 0 0
67.4	36.2	4 2 2
79.6	11.4	4 4 0

=====

Record 3
The following is a calculated XRD peak list of Er6OsRu2. It was derived from a structure optimized by DFT (PBE), using a wavelength of 1.5418 Å.

Structural model:
```
data_Er6OsRu2
_chemical_formula_sum 'Er24 Os4 Ru8'
_cell_length_a 4.7761
_cell_length_b 12.8228
_cell_length_c 14.3239
_cell_angle_alpha 90.00
_cell_angle_beta 90.00
_cell_angle_gamma 90.00
_symmetry_space_group_name_H-M 'F m m m'
_symmetry_Int_Tables_number 69
_symmetry_space_group_name_Hall '-F 2 2'
loop_
_atom_site_label
_atom_site_type_symbol
_atom_site_fract_x
_atom_site_fract_y
_atom_site_fract_z
Er1 Er 0.0000 0.1273 0.0000
Er2 Er 0.0000 0.1273 0.3337
Os1 Os 0.0000 0.0000 0.5000
Ru1 Ru 0.0000 0.0000 0.1674
```

Top 10 peaks for 2θ from 10° to 90°, sorted by position:
2theta	I (rel.)	index
13.8	23.1	0 2 0
27.3	12.1	1 1 3
27.8	11.7	0 4 0
33.8	100.0	1 3 3
37.7	57.0	2 0 0
44.4	40.6	1 5 3
54.3	20.0	2 0 6
65.6	29.5	3 3 3
70.8	17.7	2 8 0
72.7	18.8	3 5 3

=====

Record 4
The following is a calculated XRD peak list of Er12OsRu6. It was derived from a structure optimized by DFT (PBE), using a wavelength of 1.5418 Å.

Structural model:
```
data_Er12OsRu6
_chemical_formula_sum 'Er36 Os3 Ru18'
_cell_length_a 12.2868
_cell_length_b 12.2868
_cell_length_c 11.1735
_cell_angle_alpha 90.00
_cell_angle_beta 90.00
_cell_angle_gamma 120.00
_symmetry_space_group_name_H-M 'R -3'
_symmetry_Int_Tables_number 148
_symmetry_space_group_name_Hall '-R 3'
loop_
_atom_site_label
_atom_site_type_symbol
_atom_site_fract_x
_atom_site_fract_y
_atom_site_fract_z
Er1 Er 0.0301 0.2076 0.3861
Er2 Er 0.0369 0.2060 0.8815
Os1 Os 0.0000 0.0000 0.0000
Ru1 Ru 0.0458 0.2627 0.6447
```

Top 10 peaks for 2θ from 10° to 90°, sorted by position:
2theta	I (rel.)	index
23.5	45.6	2 1 1
27.3	67.7	3 -2 2
29.1	15.6	2 2 0
33.2	33.2	1 0 4
34.4	58.0	3 1 2
38.8	100.0	1 4 0
39.3	77.1	2 1 4
55.0	19.7	7 -4 2
56.4	21.9	6 -4 4
57.9	20.2	4 -2 6

=====

Record 5
The following is a calculated XRD peak list of ErOsRu. It was derived from a structure optimized by DFT (PBE), using a wavelength of 1.5418 Å.

Structural model:
```
data_ErOsRu
_chemical_formula_sum 'Er4 Os4 Ru4'
_cell_length_a 5.2276
_cell_length_b 5.4333
_cell_length_c 7.5141
_cell_angle_alpha 90.00
_cell_angle_beta 90.00
_cell_angle_gamma 90.00
_symmetry_space_group_name_H-M 'I m m a'
_symmetry_Int_Tables_number 74
_symmetry_space_group_name_Hall '-I 2b 2'
loop_
_atom_site_label
_atom_site_type_symbol
_atom_site_fract_x
_atom_site_fract_y
_atom_site_fract_z
Er1 Er 0.0000 0.2500 0.1229
Os1 Os 0.2500 0.2500 0.7500
Ru1 Ru 0.0000 0.0000 0.5000
```

Top 10 peaks for 2θ from 10° to 90°, sorted by position:
2theta	I (rel.)	index
33.0	28.7	0 2 0
33.7	48.2	1 1 2
39.2	57.2	1 2 1
39.6	53.9	0 1 3
39.9	25.7	1 0 3
40.1	100.0	2 1 1
41.0	41.9	0 2 2
42.1	41.3	2 0 2
63.7	25.9	2 3 1
70.8	42.5	2 2 4

=====

Record 6
The following is a calculated XRD peak list of Er7OsS5. It was derived from a structure optimized by DFT (PBE), using a wavelength of 1.5418 Å.

Structural model:
```
data_Er7OsS5
_chemical_formula_sum 'Er28 Os4 S20'
_cell_length_a 3.8105
_cell_length_b 12.7727
_cell_length_c 23.3831
_cell_angle_alpha 90.00
_cell_angle_beta 90.00
_cell_angle_gamma 90.00
_symmetry_space_group_name_H-M 'C m c 21'
_symmetry_Int_Tables_number 36
_symmetry_space_group_name_Hall 'C 2c -2'
loop_
_atom_site_label
_atom_site_type_symbol
_atom_site_fract_x
_atom_site_fract_y
_atom_site_fract_z
Er1 Er 0.0000 0.0360 0.0000
Er2 Er 0.0000 0.1295 0.7178
Er3 Er 0.0000 0.1477 0.2891
Er4 Er 0.0000 0.2933 0.9316
Er5 Er 0.0000 0.3135 0.0720
Er6 Er 0.0000 0.3930 0.6289
Er7 Er 0.0000 0.4189 0.3614
Os1 Os 0.0000 0.3078 0.5107
S1 S 0.0000 0.0425 0.6130
S2 S 0.0000 0.0596 0.3928
S3 S 0.0000 0.2156 0.8232
S4 S 0.0000 0.2329 0.1811
S5 S 0.0000 0.4888 0.7504
```

Top 10 peaks for 2θ from 10° to 90°, sorted by position:
2theta	I (rel.)	index
28.8	39.3	1 1 4
30.2	93.0	0 2 7
31.1	26.1	1 1 5
32.4	100.0	1 3 2
33.6	51.6	1 3 3
42.7	37.6	1 1 9
46.9	24.4	0 6 5
47.0	21.2	1 5 5
47.7	30.7	2 0 0
57.5	30.6	2 2 7

=====

Record 7
The following is a calculated XRD peak list of ErScTlOs. It was derived from a structure optimized by DFT (PBE), using a wavelength of 1.5418 Å.

Structural model:
```
data_ErScTlOs
_chemical_formula_sum 'Er1 Sc1 Tl1 Os1'
_cell_length_a 3.3057
_cell_length_b 3.3057
_cell_length_c 8.0087
_cell_angle_alpha 90.00
_cell_angle_beta 90.00
_cell_angle_gamma 90.00
_symmetry_space_group_name_H-M 'P 4 m m'
_symmetry_Int_Tables_number 99
_symmetry_space_group_name_Hall 'P 4 -2'
loop_
_atom_site_label
_atom_site_type_symbol
_atom_site_fract_x
_atom_site_fract_y
_atom_site_fract_z
Er1 Er 0.0000 0.0000 0.0000
Sc1 Sc 0.0000 0.0000 0.5997
Tl1 Tl 0.5000 0.5000 0.3157
Os1 Os 0.5000 0.5000 0.7843
```

Top 10 peaks for 2θ from 10° to 90°, sorted by position:
2theta	I (rel.)	index
11.0	10.3	0 0 1
22.2	12.4	0 0 2
27.0	9.8	1 0 0
29.2	15.5	1 0 1
35.2	100.0	1 0 2
38.5	45.5	1 1 0
53.5	10.1	1 0 4
55.6	15.8	2 0 0
60.9	13.0	1 1 4
67.5	30.4	2 1 2

=====

Record 8
The following is a calculated XRD peak list of ErSi4Os2. It was derived from a structure optimized by DFT (PBE), using a wavelength of 1.5418 Å.

Structural model:
```
data_ErSi4Os2
_chemical_formula_sum 'Er4 Si16 Os8'
_cell_length_a 16.1767
_cell_length_b 4.0652
_cell_length_c 6.6382
_cell_angle_alpha 90.00
_cell_angle_beta 90.00
_cell_angle_gamma 90.00
_symmetry_space_group_name_H-M 'P n m a'
_symmetry_Int_Tables_number 62
_symmetry_space_group_name_Hall '-P 2ac 2n'
loop_
_atom_site_label
_atom_site_type_symbol
_atom_site_fract_x
_atom_site_fract_y
_atom_site_fract_z
Er1 Er 0.1420 0.2500 0.0678
Si1 Si 0.0214 0.7500 0.1272
Si2 Si 0.0522 0.2500 0.5164
Si3 Si 0.1933 0.7500 0.3441
Si4 Si 0.2009 0.7500 0.7784
Os1 Os 0.0475 0.7500 0.7589
Os2 Os 0.1998 0.2500 0.5554
```

Top 10 peaks for 2θ from 10° to 90°, sorted by position:
2theta	I (rel.)	index
25.7	51.4	0 1 1
28.0	47.7	2 1 1
29.1	46.7	2 0 2
30.7	52.2	5 0 1
31.2	83.8	4 1 0
36.0	40.1	6 0 1
36.7	100.0	2 1 2
38.8	52.4	3 1 2
44.6	54.9	0 2 0
49.0	33.2	6 1 2